Diffraction record for CaDyTm2As4. The powder diffraction line list is theoretical, not measured: it uses a cell relaxed with GGA-PBE and Cu Kα, 1.54184 Å.
Kinematic intensities with the Lorentz-polarization factor, no thermal factor.

Main lines, by angle (2θ from 10° to 80°):
(hkl)  two_theta  I (rel.)
0 0 1  13.12  125
0 0 2  26.41  70
1 1 -1  26.57  69
1 1 1  30.69  1000
2 0 2  43.75  124
3 1 -1  43.95  494
0 2 0  44.16  122
4 0 0  54.44  65
2 2 -2  54.73  129
4 0 -4  63.90  120
0 2 4  72.49  110
4 2 0  72.60  110

Atomic structure:
abc: 7.1400 4.1017 7.1558
angles: 90.00 109.24 90.00
Space group P2/m (No. 10)
Inequivalent atoms, fractional coordinates:
Ca1 0.0000 0.0000 0.0000 x1
Dy1 0.5000 0.5000 0.0000 x1
Tm1 0.0000 0.5000 0.5000 x1
Tm2 0.5000 0.0000 0.5000 x1
As1 0.2514 0.0000 0.7436 x2
As2 0.2578 0.5000 0.2603 x2